Calculated X-ray powder pattern of Y5C for λ = 1.5418 Å (Cu Kα), from the PBE geometry in Alexandria.
Neutral-atom scattering factors, no anomalous dispersion.

Cell and atoms:
```
data_Y5C
_chemical_formula_sum 'Y10 C2'
_symmetry_space_group_name_H-M 'C 1 m 1'
_symmetry_Int_Tables_number 8
_cell_length_a 11.744
_cell_length_b 3.416
_cell_length_c 8.496
_cell_angle_alpha 90.00
_cell_angle_beta 103.61
_cell_angle_gamma 90.00
loop_
_symmetry_equiv_pos_as_xyz
'x,y,z'
'x,-y,z'
'x+1/2,y+1/2,z'
'x+1/2,-y+1/2,z'
loop_
_atom_site_label
_atom_site_type_symbol
_atom_site_fract_x
_atom_site_fract_y
_atom_site_fract_z
_atom_site_occupancy
Y1 Y 0.000 0.000 0.000 1
Y2 Y 0.084 0.000 0.390 1
Y3 Y 0.192 0.500 0.805 1
Y4 Y 0.282 0.000 0.191 1
Y5 Y 0.396 0.000 0.620 1
C1 C 0.124 0.500 0.175 1
```

The 10 most intense peaks (2θ from 10° to 80°), most intense first:
- 29.54 deg, d 3.024, I = 100, (2 0 2)
- 30.65 deg, d 2.917, I = 94, (4 0 -1)
- 28.66 deg, d 3.115, I = 87, (1 1 -1)
- 32.62 deg, d 2.745, I = 81, (2 0 -3)
- 33.78 deg, d 2.653, I = 70, (1 1 -2)
- 35.31 deg, d 2.542, I = 63, (3 1 0)
- 38.67 deg, d 2.329, I = 45, (3 1 1)
- 44.41 deg, d 2.040, I = 26, (1 1 3)
- 62.45 deg, d 1.487, I = 23, (2 2 2)
- 63.07 deg, d 1.474, I = 23, (4 2 -1)

=====

Calculated X-ray powder pattern of YZnC for λ = 1.5418 Å (Cu Kα), from the PBE geometry in Alexandria.
Neutral-atom scattering factors, no anomalous dispersion.

Cell and atoms:
```
data_YZnC
_chemical_formula_sum 'Y4 Zn4 C4'
_symmetry_space_group_name_H-M 'I 4/m m m'
_symmetry_Int_Tables_number 139
_symmetry_space_group_name_Hall '-I 4 2'
_cell_length_a 3.618
_cell_length_b 3.618
_cell_length_c 17.587
_cell_angle_alpha 90.00
_cell_angle_beta 90.00
_cell_angle_gamma 90.00
loop_
_atom_site_label
_atom_site_type_symbol
_atom_site_fract_x
_atom_site_fract_y
_atom_site_fract_z
_atom_site_occupancy
Y1 Y 0.000 0.000 0.183 1
Zn1 Zn 0.000 0.000 0.433 1
C1 C 0.000 0.000 0.321 1
```

The 10 most intense peaks (2θ from 10° to 80°), most intense first:
- 29.00 deg, d 3.079, I = 100, (1 0 3)
- 35.08 deg, d 2.558, I = 94, (1 1 0)
- 35.60 deg, d 2.522, I = 67, (1 0 5)
- 55.08 deg, d 1.667, I = 45, (1 1 8)
- 50.46 deg, d 1.809, I = 32, (2 0 0)
- 41.06 deg, d 2.198, I = 28, (0 0 8)
- 59.25 deg, d 1.560, I = 27, (2 1 3)
- 63.27 deg, d 1.470, I = 24, (2 1 5)
- 67.00 deg, d 1.397, I = 24, (2 0 8)
- 25.13 deg, d 3.543, I = 16, (1 0 1)

=====

Calculated X-ray powder pattern of Y6ZnC3 for λ = 1.5418 Å (Cu Kα), from the PBE geometry in Alexandria.
Neutral-atom scattering factors, no anomalous dispersion.

Cell and atoms:
```
data_Y6ZnC3
_chemical_formula_sum 'Y12 Zn2 C6'
_symmetry_space_group_name_H-M 'P 1 21/m 1'
_symmetry_Int_Tables_number 11
_cell_length_a 10.738
_cell_length_b 3.624
_cell_length_c 11.363
_cell_angle_alpha 90.00
_cell_angle_beta 103.15
_cell_angle_gamma 90.00
loop_
_symmetry_equiv_pos_as_xyz
'x,y,z'
'-x,-y,-z'
'-x,y+1/2,-z'
'x,-y+1/2,z'
loop_
_atom_site_label
_atom_site_type_symbol
_atom_site_fract_x
_atom_site_fract_y
_atom_site_fract_z
_atom_site_occupancy
Y1 Y 0.022 0.250 0.128 1
Y2 Y 0.114 0.750 0.452 1
Y3 Y 0.175 0.250 0.746 1
Y4 Y 0.295 0.750 0.020 1
Y5 Y 0.304 0.250 0.298 1
Y6 Y 0.425 0.250 0.594 1
Zn1 Zn 0.464 0.750 0.830 1
C1 C 0.025 0.750 0.653 1
C2 C 0.139 0.250 0.953 1
C3 C 0.354 0.750 0.444 1
```

The 10 most intense peaks (2θ from 10° to 80°), most intense first:
- 33.01 deg, d 2.713, I = 100, (2 0 -4)
- 33.38 deg, d 2.684, I = 88, (4 0 -1)
- 32.12 deg, d 2.787, I = 80, (2 1 1)
- 32.74 deg, d 2.735, I = 76, (2 0 3)
- 32.24 deg, d 2.777, I = 73, (2 1 -2)
- 29.64 deg, d 3.014, I = 60, (1 1 -2)
- 31.74 deg, d 2.819, I = 49, (1 1 2)
- 50.36 deg, d 1.812, I = 40, (0 2 0)
- 48.17 deg, d 1.889, I = 40, (0 1 5)
- 29.47 deg, d 3.031, I = 38, (0 1 2)